No. 1
Gd2In2IrPd3: computed PXRD pattern (Cu Kα X-rays), based on a DFT-relaxed cell (GGA-PBE, OQMD).
Lines closer than 0.1° are merged.

```
data_Gd2In2IrPd3
_chemical_formula_sum 'Gd2 In2 Ir1 Pd3'
_cell_length_a 4.5997
_cell_length_b 4.5997
_cell_length_c 8.9871
_cell_angle_alpha 90.00
_cell_angle_beta 90.00
_cell_angle_gamma 120.00
_symmetry_space_group_name_H-M 'P 3 m 1'
_symmetry_Int_Tables_number 156
_symmetry_space_group_name_Hall 'P 3 -2"'
loop_
_atom_site_label
_atom_site_fract_x
_atom_site_fract_y
_atom_site_fract_z
_atom_site_occupancy
Gd1 0.0000 0.0000 0.0000 1
Gd2 0.3333 0.6667 0.5131 1
In1 0.6667 0.3333 0.2593 1
In2 0.6667 0.3333 0.7685 1
Ir1 0.3333 0.6667 0.8438 1
Pd1 0.0000 0.0000 0.3421 1
Pd2 0.0000 0.0000 0.6649 1
Pd3 0.3333 0.6667 0.1710 1
```

Most intense lines, 2θ from 10° to 80°, in order of rising 2θ:
22.32 deg, intensity 14, (1 0 0)
29.98 deg, intensity 28, (1 0 2)
37.57 deg, intensity 100, (1 0 3)
39.17 deg, intensity 99, (1 1 0)
46.40 deg, intensity 6, (1 0 4)
50.08 deg, intensity 8, (0 2 2)
55.39 deg, intensity 32, (0 2 3)
65.37 deg, intensity 6, (2 1 2)
66.72 deg, intensity 15, (0 1 6)
69.93 deg, intensity 32, (2 1 3)
70.98 deg, intensity 17, (3 0 0)
75.79 deg, intensity 9, (1 1 6)

No. 2
TbYZn2Sn2: computed PXRD pattern (Cu Kα X-rays), based on a DFT-relaxed cell (GGA-PBE, OQMD).
Lines closer than 0.1° are merged.

```
data_TbYZn2Sn2
_chemical_formula_sum 'Tb2 Y2 Zn4 Sn4'
_cell_length_a 4.5152
_cell_length_b 4.5152
_cell_length_c 15.8566
_cell_angle_alpha 90.00
_cell_angle_beta 90.00
_cell_angle_gamma 120.00
_symmetry_space_group_name_H-M 'P 63/m m c'
_symmetry_Int_Tables_number 194
_symmetry_space_group_name_Hall '-P 6c 2c'
loop_
_atom_site_label
_atom_site_fract_x
_atom_site_fract_y
_atom_site_fract_z
_atom_site_occupancy
Tb1 0.0000 0.0000 0.0000 1
Y1 0.0000 0.0000 0.2500 1
Zn1 0.3333 0.6667 0.1594 1
Sn1 0.3333 0.6667 0.6136 1
```

Most intense lines, 2θ from 10° to 80°, in order of rising 2θ:
28.39 deg, intensity 21, (1 0 3)
32.15 deg, intensity 100, (1 0 4)
39.93 deg, intensity 66, (1 1 0)
45.78 deg, intensity 7, (0 0 8)
46.32 deg, intensity 19, (1 0 7)
52.16 deg, intensity 25, (2 0 4)
62.34 deg, intensity 17, (1 1 8)
62.78 deg, intensity 7, (2 0 7)
67.65 deg, intensity 23, (2 1 4)
69.50 deg, intensity 7, (1 0 11)
72.52 deg, intensity 11, (3 0 0)
77.04 deg, intensity 8, (2 1 7)